Computed powder XRD pattern
Compound: Pr4CdPb3
Radiation: λ = 1.5418 Å (Cu Kα)
Structure: the GGA-PBE geometry in Alexandria
No peak broadening, texture or thermal motion is included.

Most intense lines, 10° ≤ 2θ ≤ 90°, by intensity:
2theta, d_spacing, intensity, (hkl)
31.4, 2.848, 100, 2 0 1
34.8, 2.580, 38, 2 2 -1
60.2, 1.536, 32, 4 2 0
53.7, 1.707, 22, 2 2 3
50.0, 1.824, 14, 0 4 0
39.6, 2.277, 13, 0 0 4
65.6, 1.424, 12, 4 0 2
66.7, 1.402, 12, 2 0 5
87.8, 1.112, 12, 4 2 4
82.0, 1.175, 7, 0 6 2

Atomic structure:
```
data_Pr4CdPb3
_chemical_formula_sum 'Pr8 Cd2 Pb6'
_space_group_name_H-M_alt 'C 1 2/m 1'
_space_group_IT_number 12
_cell_length_a 7.2955
_cell_length_b 7.3002
_cell_length_c 9.8096
_cell_angle_alpha 90.00
_cell_angle_beta 111.77
_cell_angle_gamma 90.00
loop_
_space_group_symop_operation_xyz
'x,y,z'
'-x,-y,-z'
'-x,y,-z'
'x,-y,z'
'x+1/2,y+1/2,z'
'-x+1/2,-y+1/2,-z'
'-x+1/2,y+1/2,-z'
'x+1/2,-y+1/2,z'
loop_
_atom_site_label
_atom_site_type_symbol
_atom_site_fract_x
_atom_site_fract_y
_atom_site_fract_z
_atom_site_occupancy
Pr1 Pr 0.1269 0.2499 0.2529 1
Cd1 Cd 0.0000 0.0000 0.5000 1
Pb1 Pb 0.0000 0.5000 0.5000 1
Pb2 Pb 0.2497 0.0000 0.9990 1
```

***

Computed powder XRD pattern
Compound: Pr2CdPb8
Radiation: λ = 1.5418 Å (Cu Kα)
Structure: the GGA-PBE geometry in Alexandria
No peak broadening, texture or thermal motion is included.

Most intense lines, 10° ≤ 2θ ≤ 90°, by intensity:
2theta, d_spacing, intensity, (hkl)
31.9, 2.802, 100, 1 1 3
37.2, 2.415, 37, 2 0 0
63.8, 1.458, 28, 3 1 3
53.3, 1.720, 19, 2 0 6
36.7, 2.450, 13, 0 0 6
53.7, 1.708, 13, 2 2 0
66.8, 1.401, 10, 2 2 6
28.8, 3.098, 9, 1 1 2
56.9, 1.618, 8, 1 1 8
48.8, 1.866, 7, 2 0 5

Atomic structure:
```
data_Pr2CdPb8
_chemical_formula_sum 'Pr2 Cd1 Pb8'
_space_group_name_H-M_alt 'P 4/m m m'
_space_group_IT_number 123
_space_group_name_Hall '-P 4 2'
_cell_length_a 4.8305
_cell_length_b 4.8305
_cell_length_c 14.6993
_cell_angle_alpha 90.00
_cell_angle_beta 90.00
_cell_angle_gamma 90.00
loop_
_atom_site_label
_atom_site_type_symbol
_atom_site_fract_x
_atom_site_fract_y
_atom_site_fract_z
_atom_site_occupancy
Pr1 Pr 0.0000 0.0000 0.1634 1
Cd1 Cd 0.0000 0.0000 0.5000 1
Pb1 Pb 0.0000 0.5000 0.0000 1
Pb2 Pb 0.0000 0.5000 0.3548 1
Pb3 Pb 0.5000 0.5000 0.1853 1
```

***

Computed powder XRD pattern
Compound: PrCd6Pb
Radiation: λ = 1.5418 Å (Cu Kα)
Structure: the GGA-PBE geometry in Alexandria
No peak broadening, texture or thermal motion is included.

Most intense lines, 10° ≤ 2θ ≤ 90°, by intensity:
2theta, d_spacing, intensity, (hkl)
33.9, 2.642, 100, 1 2 2
36.4, 2.466, 28, 2 0 0
33.2, 2.695, 27, 1 1 3
68.8, 1.365, 20, 2 3 5
33.8, 2.653, 19, 0 0 4
64.0, 1.455, 15, 3 2 2
50.5, 1.806, 12, 2 0 4
35.8, 2.510, 11, 0 3 1
56.1, 1.640, 10, 0 3 5
46.9, 1.937, 9, 0 4 0

Atomic structure:
```
data_PrCd6Pb
_chemical_formula_sum 'Pr2 Cd12 Pb2'
_space_group_name_H-M_alt 'A m m 2'
_space_group_IT_number 38
_cell_length_a 4.9318
_cell_length_b 7.7506
_cell_length_c 10.6134
_cell_angle_alpha 90.00
_cell_angle_beta 90.00
_cell_angle_gamma 90.00
loop_
_space_group_symop_operation_xyz
'x,y,z'
'-x,-y,z'
'-x,y,z'
'x,-y,z'
'x,y+1/2,z+1/2'
'-x,-y+1/2,z+1/2'
'-x,y+1/2,z+1/2'
'x,-y+1/2,z+1/2'
loop_
_atom_site_label
_atom_site_type_symbol
_atom_site_fract_x
_atom_site_fract_y
_atom_site_fract_z
_atom_site_occupancy
Pr1 Pr 0.0000 0.0000 0.0000 1
Cd1 Cd 0.0000 0.0000 0.5530 1
Cd2 Cd 0.0000 0.1997 0.2830 1
Cd3 Cd 0.5000 0.0000 0.1990 1
Cd4 Cd 0.5000 0.2055 0.4864 1
Pb1 Pb 0.5000 0.0000 0.7667 1
```

***

Computed powder XRD pattern
Compound: Pr5Cd2Pb5
Radiation: λ = 1.5418 Å (Cu Kα)
Structure: the GGA-PBE geometry in Alexandria
No peak broadening, texture or thermal motion is included.

Most intense lines, 10° ≤ 2θ ≤ 90°, by intensity:
2theta, d_spacing, intensity, (hkl)
33.8, 2.654, 100, 5 1 -1
30.2, 2.961, 76, 3 1 -3
36.9, 2.437, 46, 0 2 0
30.4, 2.938, 40, 2 0 2
32.6, 2.749, 32, 1 1 -3
35.4, 2.536, 22, 6 0 -4
48.5, 1.876, 22, 2 2 2
31.0, 2.884, 21, 1 1 2
63.5, 1.466, 17, 9 1 -7
64.5, 1.445, 16, 5 3 -1

Atomic structure:
```
data_Pr5Cd2Pb5
_chemical_formula_sum 'Pr10 Cd4 Pb10'
_space_group_name_H-M_alt 'C 1 2/m 1'
_space_group_IT_number 12
_cell_length_a 17.0346
_cell_length_b 4.8738
_cell_length_c 11.1985
_cell_angle_alpha 90.00
_cell_angle_beta 128.17
_cell_angle_gamma 90.00
loop_
_space_group_symop_operation_xyz
'x,y,z'
'-x,-y,-z'
'-x,y,-z'
'x,-y,z'
'x+1/2,y+1/2,z'
'-x+1/2,-y+1/2,-z'
'-x+1/2,y+1/2,-z'
'x+1/2,-y+1/2,z'
loop_
_atom_site_label
_atom_site_type_symbol
_atom_site_fract_x
_atom_site_fract_y
_atom_site_fract_z
_atom_site_occupancy
Pr1 Pr 0.0000 0.0000 0.0000 1
Pr2 Pr 0.1027 0.0000 0.4158 1
Pr3 Pr 0.1903 0.0000 0.8283 1
Cd1 Cd 0.1400 0.5000 0.2403 1
Pb1 Pb 0.0000 0.5000 0.5000 1
Pb2 Pb 0.0709 0.5000 0.8672 1
Pb3 Pb 0.2381 0.5000 0.6720 1
```

***

Computed powder XRD pattern
Compound: PrCd2Pb3
Radiation: λ = 1.5418 Å (Cu Kα)
Structure: the GGA-PBE geometry in Alexandria
No peak broadening, texture or thermal motion is included.

Most intense lines, 10° ≤ 2θ ≤ 90°, by intensity:
2theta, d_spacing, intensity, (hkl)
32.1, 2.789, 100, 1 3 1
36.1, 2.490, 18, 0 6 0
36.9, 2.438, 17, 2 0 0
38.7, 2.327, 15, 0 0 2
62.4, 1.489, 15, 1 9 1
63.4, 1.466, 14, 3 3 1
65.9, 1.417, 13, 1 3 3
52.5, 1.742, 12, 2 6 0
67.1, 1.395, 12, 2 6 2
53.9, 1.700, 12, 0 6 2

Atomic structure:
```
data_PrCd2Pb3
_chemical_formula_sum 'Pr2 Cd4 Pb6'
_space_group_name_H-M_alt 'C m m m'
_space_group_IT_number 65
_space_group_name_Hall '-C 2 2'
_cell_length_a 4.8761
_cell_length_b 14.9407
_cell_length_c 4.6535
_cell_angle_alpha 90.00
_cell_angle_beta 90.00
_cell_angle_gamma 90.00
loop_
_atom_site_label
_atom_site_type_symbol
_atom_site_fract_x
_atom_site_fract_y
_atom_site_fract_z
_atom_site_occupancy
Pr1 Pr 0.0000 0.0000 0.0000 1
Cd1 Cd 0.0000 0.3316 0.0000 1
Pb1 Pb 0.0000 0.1705 0.5000 1
Pb2 Pb 0.0000 0.5000 0.5000 1
```

***

Computed powder XRD pattern
Compound: CdPtPb2
Radiation: λ = 1.5418 Å (Cu Kα)
Structure: the GGA-PBE geometry in Alexandria
No peak broadening, texture or thermal motion is included.

Most intense lines, 10° ≤ 2θ ≤ 90°, by intensity:
2theta, d_spacing, intensity, (hkl)
28.2, 3.159, 100, 0 2 1
37.4, 2.403, 73, 1 3 1
18.3, 4.857, 61, 1 1 0
44.3, 2.045, 60, 2 2 1
33.4, 2.683, 55, 2 0 0
28.8, 3.105, 33, 1 3 0
39.5, 2.281, 24, 0 4 1
59.7, 1.549, 21, 2 0 2
52.7, 1.738, 21, 2 4 1
48.0, 1.896, 20, 0 0 2

Atomic structure:
```
data_CdPtPb2
_chemical_formula_sum 'Cd2 Pt2 Pb4'
_space_group_name_H-M_alt 'C m m m'
_space_group_IT_number 65
_space_group_name_Hall '-C 2 2'
_cell_length_a 5.3669
_cell_length_b 11.4206
_cell_length_c 3.7925
_cell_angle_alpha 90.00
_cell_angle_beta 90.00
_cell_angle_gamma 90.00
loop_
_atom_site_label
_atom_site_type_symbol
_atom_site_fract_x
_atom_site_fract_y
_atom_site_fract_z
_atom_site_occupancy
Cd1 Cd 0.0000 0.0000 0.0000 1
Pt1 Pt 0.0000 0.5000 0.0000 1
Pb1 Pb 0.0000 0.3238 0.5000 1
```

***

Computed powder XRD pattern
Compound: Rb3Cd2Pb
Radiation: λ = 1.5418 Å (Cu Kα)
Structure: the GGA-PBE geometry in Alexandria
No peak broadening, texture or thermal motion is included.

Most intense lines, 10° ≤ 2θ ≤ 90°, by intensity:
2theta, d_spacing, intensity, (hkl)
27.5, 3.249, 100, 1 3 1
15.8, 5.599, 97, 1 1 1
15.7, 5.641, 57, 0 2 0
27.7, 3.224, 57, 2 0 2
25.6, 3.478, 38, 0 2 2
24.8, 3.585, 35, 1 3 0
23.8, 3.735, 33, 3 1 0
34.7, 2.584, 32, 3 1 -3
36.3, 2.477, 31, 4 2 -2
32.5, 2.757, 29, 4 0 -2

Atomic structure:
```
data_Rb3Cd2Pb
_chemical_formula_sum 'Rb12 Cd8 Pb4'
_space_group_name_H-M_alt 'C 1 2/c 1'
_space_group_IT_number 15
_cell_length_a 12.1660
_cell_length_b 11.2826
_cell_length_c 9.0511
_cell_angle_alpha 90.00
_cell_angle_beta 102.56
_cell_angle_gamma 90.00
loop_
_space_group_symop_operation_xyz
'x,y,z'
'-x,-y,-z'
'-x,y,-z+1/2'
'x,-y,z+1/2'
'x+1/2,y+1/2,z'
'-x+1/2,-y+1/2,-z'
'-x+1/2,y+1/2,-z+1/2'
'x+1/2,-y+1/2,z+1/2'
loop_
_atom_site_label
_atom_site_type_symbol
_atom_site_fract_x
_atom_site_fract_y
_atom_site_fract_z
_atom_site_occupancy
Rb1 Rb 0.0000 0.1395 0.2500 1
Rb2 Rb 0.1904 0.4338 0.9952 1
Cd1 Cd 0.1932 0.2410 0.6244 1
Pb1 Pb 0.0000 0.1995 0.7500 1
```

***

Computed powder XRD pattern
Compound: RbCd3Pb10
Radiation: λ = 1.5418 Å (Cu Kα)
Structure: the GGA-PBE geometry in Alexandria
No peak broadening, texture or thermal motion is included.

Most intense lines, 10° ≤ 2θ ≤ 90°, by intensity:
2theta, d_spacing, intensity, (hkl)
29.8, 2.995, 100, 3 3 3
34.1, 2.630, 59, 5 3 1
32.5, 2.751, 34, 4 4 0
58.1, 1.588, 23, 8 4 4
16.1, 5.502, 23, 2 2 0
38.4, 2.346, 22, 6 2 2
49.7, 1.834, 22, 6 6 0
34.6, 2.594, 19, 6 0 0
53.7, 1.708, 17, 9 1 1
80.8, 1.190, 17, 9 9 3

Atomic structure:
```
data_RbCd3Pb10
_chemical_formula_sum 'Rb8 Cd24 Pb80'
_space_group_name_H-M_alt 'F m -3 m'
_space_group_IT_number 225
_space_group_name_Hall '-F 4 2 3'
_cell_length_a 15.5613
_cell_length_b 15.5613
_cell_length_c 15.5613
_cell_angle_alpha 90.00
_cell_angle_beta 90.00
_cell_angle_gamma 90.00
loop_
_atom_site_label
_atom_site_type_symbol
_atom_site_fract_x
_atom_site_fract_y
_atom_site_fract_z
_atom_site_occupancy
Rb1 Rb 0.2500 0.2500 0.2500 1
Cd1 Cd 0.0000 0.0000 0.2287 1
Pb1 Pb 0.0000 0.1756 0.3244 1
Pb2 Pb 0.1176 0.1176 0.1176 1
```

***

Computed powder XRD pattern
Compound: Rb2Cd2Pb
Radiation: λ = 1.5418 Å (Cu Kα)
Structure: the GGA-PBE geometry in Alexandria
No peak broadening, texture or thermal motion is included.

Most intense lines, 10° ≤ 2θ ≤ 90°, by intensity:
2theta, d_spacing, intensity, (hkl)
32.1, 2.788, 100, 2 2 1
14.6, 6.051, 81, 1 1 0
26.8, 3.331, 77, 0 2 1
30.7, 2.909, 72, 1 1 -3
29.7, 3.012, 64, 3 1 -2
29.9, 2.992, 50, 3 1 1
33.0, 2.712, 43, 4 0 -2
27.1, 3.294, 42, 2 0 2
18.3, 4.839, 36, 1 1 1
53.5, 1.712, 34, 6 2 -1

Atomic structure:
```
data_Rb2Cd2Pb
_chemical_formula_sum 'Rb8 Cd8 Pb4'
_space_group_name_H-M_alt 'C 1 2/c 1'
_space_group_IT_number 15
_cell_length_a 11.7148
_cell_length_b 7.1289
_cell_length_c 9.5753
_cell_angle_alpha 90.00
_cell_angle_beta 102.30
_cell_angle_gamma 90.00
loop_
_space_group_symop_operation_xyz
'x,y,z'
'-x,-y,-z'
'-x,y,-z+1/2'
'x,-y,z+1/2'
'x+1/2,y+1/2,z'
'-x+1/2,-y+1/2,-z'
'-x+1/2,y+1/2,-z+1/2'
'x+1/2,-y+1/2,z+1/2'
loop_
_atom_site_label
_atom_site_type_symbol
_atom_site_fract_x
_atom_site_fract_y
_atom_site_fract_z
_atom_site_occupancy
Rb1 Rb 0.1481 0.1253 0.1509 1
Cd1 Cd 0.1338 0.3721 0.4965 1
Pb1 Pb 0.0000 0.3726 0.7500 1
```

***

Computed powder XRD pattern
Compound: RbCd2Pb10
Radiation: λ = 1.5418 Å (Cu Kα)
Structure: the GGA-PBE geometry in Alexandria
No peak broadening, texture or thermal motion is included.

Most intense lines, 10° ≤ 2θ ≤ 90°, by intensity:
2theta, d_spacing, intensity, (hkl)
31.1, 2.877, 100, 0 4 4
32.0, 2.801, 91, 2 2 2
35.1, 2.559, 77, 2 0 4
30.3, 2.949, 77, 1 1 5
32.3, 2.773, 71, 1 5 1
36.2, 2.479, 66, 2 4 0
35.7, 2.518, 61, 1 5 3
55.9, 1.646, 53, 2 6 6
27.1, 3.292, 51, 1 3 3
34.5, 2.602, 49, 1 3 5

Atomic structure:
```
data_RbCd2Pb10
_chemical_formula_sum 'Rb4 Cd8 Pb40'
_space_group_name_H-M_alt 'F m m m'
_space_group_IT_number 69
_space_group_name_Hall '-F 2 2'
_cell_length_a 6.4126
_cell_length_b 15.6358
_cell_length_c 16.9962
_cell_angle_alpha 90.00
_cell_angle_beta 90.00
_cell_angle_gamma 90.00
loop_
_atom_site_label
_atom_site_type_symbol
_atom_site_fract_x
_atom_site_fract_y
_atom_site_fract_z
_atom_site_occupancy
Rb1 Rb 0.0000 0.0000 0.0000 1
Cd1 Cd 0.2500 0.0000 0.2500 1
Pb1 Pb 0.0000 0.1088 0.3828 1
Pb2 Pb 0.0000 0.1777 0.1779 1
Pb3 Pb 0.2500 0.2500 0.0000 1
```

***

Computed powder XRD pattern
Compound: Rb3Cd2Pb8
Radiation: λ = 1.5418 Å (Cu Kα)
Structure: the GGA-PBE geometry in Alexandria
No peak broadening, texture or thermal motion is included.

Most intense lines, 10° ≤ 2θ ≤ 90°, by intensity:
2theta, d_spacing, intensity, (hkl)
10.5, 8.409, 100, 0 0 1
27.5, 3.248, 87, 0 1 2
33.1, 2.704, 68, -2 2 1
31.0, 2.884, 62, 1 1 -3
34.5, 2.601, 59, 1 -3 2
32.0, 2.796, 55, 0 2 -3
32.2, 2.783, 50, 0 3 -1
27.7, 3.221, 48, -2 1 1
13.3, 6.644, 36, 1 0 0
35.2, 2.547, 33, 2 -1 2

Atomic structure:
```
data_Rb3Cd2Pb8
_chemical_formula_sum 'Rb3 Cd2 Pb8'
_space_group_name_H-M_alt 'P -1'
_space_group_IT_number 2
_cell_length_a 6.9442
_cell_length_b 8.5211
_cell_length_c 9.0900
_cell_angle_alpha 108.46
_cell_angle_beta 98.31
_cell_angle_gamma 101.15
loop_
_space_group_symop_operation_xyz
'x,y,z'
'-x,-y,-z'
loop_
_atom_site_label
_atom_site_type_symbol
_atom_site_fract_x
_atom_site_fract_y
_atom_site_fract_z
_atom_site_occupancy
Rb1 Rb 0.0000 0.0000 0.0000 1
Rb2 Rb 0.2399 0.4578 0.8402 1
Cd1 Cd 0.2340 0.0339 0.4911 1
Pb1 Pb 0.0882 0.7371 0.6047 1
Pb2 Pb 0.3093 0.6565 0.3115 1
Pb3 Pb 0.4187 0.2923 0.3543 1
Pb4 Pb 0.4746 0.0590 0.8369 1
```

***

Computed powder XRD pattern
Compound: RbCd2Pb2
Radiation: λ = 1.5418 Å (Cu Kα)
Structure: the GGA-PBE geometry in Alexandria
No peak broadening, texture or thermal motion is included.

Most intense lines, 10° ≤ 2θ ≤ 90°, by intensity:
2theta, d_spacing, intensity, (hkl)
33.3, 2.690, 100, 2 1 1
29.7, 3.013, 55, 3 1 0
58.6, 1.576, 29, 5 2 1
13.1, 6.736, 20, 1 1 0
37.8, 2.382, 15, 4 0 0
61.7, 1.503, 14, 3 1 2
40.2, 2.245, 13, 3 3 0
20.8, 4.260, 13, 2 1 0
43.0, 2.102, 11, 3 2 1
47.3, 1.923, 11, 4 1 1

Atomic structure:
```
data_RbCd2Pb2
_chemical_formula_sum 'Rb2 Cd4 Pb4'
_space_group_name_H-M_alt 'P 4/m b m'
_space_group_IT_number 127
_space_group_name_Hall '-P 4 2ab'
_cell_length_a 9.5267
_cell_length_b 9.5267
_cell_length_c 3.4691
_cell_angle_alpha 90.00
_cell_angle_beta 90.00
_cell_angle_gamma 90.00
loop_
_atom_site_label
_atom_site_type_symbol
_atom_site_fract_x
_atom_site_fract_y
_atom_site_fract_z
_atom_site_occupancy
Rb1 Rb 0.0000 0.0000 0.0000 1
Cd1 Cd 0.1359 0.3641 0.0000 1
Pb1 Pb 0.1522 0.6522 0.5000 1
```